Entry 1:
Diffraction record for Cu2SnSe3. The PXRD pattern is computed, not measured: it uses a crystal structure in Alexandria, relaxed with GGA-PBE and a wavelength of 1.5418 Å.

Largest 6 diffraction maxima, by angle, 5° ≤ 2θ ≤ 70°:
2θ/deg  intensity  (hkl)
26.6  88  1 0 1
26.9  82  0 3 1
43.9  22  2 0 0
44.5  100  0 6 0
52.2  25  2 3 1
52.6  25  1 6 1

Atomic structure:
a = 4.128 Å, b = 12.232 Å, c = 5.720 Å
α = 90.00°, β = 90.00°, γ = 90.00°
Space group Imm2 (No. 44)
Unique sites:
Cu 0.000 0.171 0.000
Sn 0.000 0.500 0.971
Se 0.000 0.000 0.773
Se 0.000 0.322 0.723

=====

Entry 2:
Diffraction record for CsTlCdIn. The PXRD pattern is computed, not measured: it uses a crystal structure in Alexandria, relaxed with GGA-PBE and a wavelength of 1.5418 Å.

Largest 6 diffraction maxima, by angle, 5° ≤ 2θ ≤ 70°:
2θ/deg  intensity  (hkl)
12.2  50  0 0 3
26.1  91  1 0 4
28.9  50  0 1 5
35.4  100  1 1 0
46.6  30  1 0 10
63.7  21  3 0 0

Atomic structure:
a = 5.0628 Å, b = 5.0628 Å, c = 21.7810 Å
α = 90.00°, β = 90.00°, γ = 120.00°
Space group R3m (No. 160, hexagonal axes)
Unique sites:
Cs 0.0000 0.0000 0.0000
Tl 0.0000 0.0000 0.2079
Cd 0.0000 0.0000 0.4886
In 0.0000 0.0000 0.7950

=====

Entry 3:
Diffraction record for Tb3Sm3Y. The PXRD pattern is computed, not measured: it uses a crystal structure in Alexandria, relaxed with GGA-PBE and a wavelength of 1.5418 Å.

Largest 6 diffraction maxima, by angle, 5° ≤ 2θ ≤ 70°:
2θ/deg  intensity  (hkl)
28.3  47  1 1 -3
30.3  53  1 3 -1
31.5  57  3 1 0
31.8  42  2 2 -2
31.9  71  2 2 2
33.6  100  1 3 -2

Atomic structure:
a = 8.894 Å, b = 9.810 Å, c = 10.754 Å
α = 90.00°, β = 90.28°, γ = 90.00°
Space group C2/m (No. 12)
Unique sites:
Tb 0.000 0.185 0.000
Tb 0.000 0.186 0.500
Tb 0.170 0.500 0.069
Sm 0.032 0.000 0.750
Sm 0.192 0.323 0.750
Y 0.170 0.500 0.431